Diffraction record for La2PrPaSe3O4. The XRD peak list is simulated, not measured: it uses a DFT-relaxed cell (GGA-PBE, OQMD) and λ = 1.5418 Å (Cu Kα).
Intensities are scaled so that the largest is 100.

Structural model:
```
data_La2PrPaSe3O4
_symmetry_space_group_name_H-M 'A m m 2'
_symmetry_Int_Tables_number 38
_cell_length_a 8.7022
_cell_length_b 3.9997
_cell_length_c 12.7154
_cell_angle_alpha 90.00
_cell_angle_beta 90.00
_cell_angle_gamma 90.00
loop_
_symmetry_equiv_pos_as_xyz
'x,y,z'
'-x,-y,z'
'-x,y,z'
'x,-y,z'
'x,y+1/2,z+1/2'
'-x,-y+1/2,z+1/2'
'-x,y+1/2,z+1/2'
'x,-y+1/2,z+1/2'
loop_
_atom_site_label
_atom_site_fract_x
_atom_site_fract_y
_atom_site_fract_z
La1 0.2449 0.0000 0.0000
Pr1 0.5000 0.0000 0.3183
Pa1 0.0000 0.0000 0.3084
Se1 0.0000 0.0000 0.6194
Se2 0.3294 0.0000 0.6776
O1 0.0000 0.0000 0.8918
O2 0.2333 0.0000 0.3937
O3 0.5000 0.0000 0.9297
```

Most intense lines, 2θ from 15° to 90°, low angle first:
2θ (°)  d_spacing  I (rel.)  index
24.80  3.591  63  2 0 2
30.74  2.909  100  0 1 3
31.18  2.869  63  2 1 1
34.96  2.567  29  2 0 4
41.51  2.176  15  4 0 0
45.35  2.000  20  0 2 0
47.22  1.925  25  2 1 5
52.37  1.747  17  2 2 2
52.53  1.742  25  4 1 3
58.51  1.578  13  2 2 4